Structure and computed powder X-ray diffraction pattern of La7Bi4H4 (a structure optimized by DFT (GGA-PBE); Cu Kα).

Largest 6 diffraction maxima, low angle first, 2θ from 10° to 90°:
24.0°, I = 16; 27.4°, I = 37; 31.5°, I = 100; 32.8°, I = 25; 34.2°, I = 19; 51.1°, I = 26

Structure:
```
La7Bi4H4
1.0
-7.8765 7.8765 3.2582
7.8765 -7.8765 3.2582
7.8765 7.8765 -3.2582
La Bi H
14 8 8
direct
0.0000 0.2872 0.2872 La
0.0000 0.7128 0.7128 La
0.1032 0.5000 0.6032 La
0.2497 0.2497 0.0000 La
0.2872 0.0000 0.2872 La
0.2986 0.2986 0.5973 La
0.2986 0.7014 0.0000 La
0.5000 0.1032 0.6032 La
0.5000 0.8968 0.3968 La
0.7014 0.2986 0.0000 La
0.7014 0.7014 0.4027 La
0.7128 0.0000 0.7128 La
0.7503 0.7503 0.0000 La
0.8968 0.5000 0.3968 La
0.1483 0.1483 0.2967 Bi
0.1483 0.8517 0.0000 Bi
0.3073 0.5000 0.8073 Bi
0.5000 0.3073 0.8073 Bi
0.5000 0.6927 0.1927 Bi
0.6927 0.5000 0.1927 Bi
0.8517 0.1483 0.0000 Bi
0.8517 0.8517 0.7033 Bi
0.1323 0.6323 0.2646 H
0.1323 0.8677 0.5000 H
0.3677 0.6323 0.5000 H
0.3677 0.8677 0.7354 H
0.6323 0.1323 0.2646 H
0.6323 0.3677 0.5000 H
0.8677 0.1323 0.5000 H
0.8677 0.3677 0.7354 H
```


Structure and computed powder X-ray diffraction pattern of La3BiH3 (a structure optimized by DFT (GGA-PBE); Cu Kα).

Largest 6 diffraction maxima, low angle first, 2θ from 10° to 90°:
26.7°, I = 42; 29.9°, I = 79; 32.8°, I = 100; 49.2°, I = 20; 51.2°, I = 58; 55.0°, I = 19

Structure:
```
La3BiH3
1.0
6.6807 0.0000 0.0000
0.0000 6.6807 0.0000
0.0000 0.0000 6.6807
La Bi H
6 2 6
direct
0.0000 0.2500 0.5000 La
0.0000 0.7500 0.5000 La
0.2500 0.5000 0.0000 La
0.5000 0.0000 0.2500 La
0.5000 0.0000 0.7500 La
0.7500 0.5000 0.0000 La
0.0000 0.0000 0.0000 Bi
0.5000 0.5000 0.5000 Bi
0.0000 0.5000 0.2500 H
0.0000 0.5000 0.7500 H
0.2500 0.0000 0.5000 H
0.5000 0.2500 0.0000 H
0.5000 0.7500 0.0000 H
0.7500 0.0000 0.5000 H
```